# 1
Starting from a DFT-relaxed cell (PBE, Alexandria), the X-ray diffraction stick pattern of Cs3GaS3 was calculated for copper Kα.
No peak broadening, texture or thermal motion is included.

Atomic structure:
```
Cs3GaS3
1.0
9.415 0.000 0.000
0.000 8.293 0.000
-1.955 0.000 13.407
Cs Ga S
12 4 12
Direct
0.075 0.149 0.136
0.075 0.351 0.636
0.323 0.713 0.790
0.323 0.787 0.290
0.387 0.222 0.924
0.387 0.278 0.424
0.613 0.722 0.576
0.613 0.778 0.076
0.677 0.213 0.710
0.677 0.287 0.210
0.925 0.649 0.364
0.925 0.851 0.864
0.162 0.575 0.047
0.162 0.925 0.547
0.838 0.075 0.453
0.838 0.425 0.953
0.068 0.059 0.396
0.068 0.441 0.896
0.239 0.667 0.524
0.239 0.833 0.024
0.339 0.062 0.646
0.339 0.438 0.146
0.661 0.562 0.854
0.661 0.938 0.354
0.761 0.167 0.976
0.761 0.333 0.476
0.932 0.559 0.104
0.932 0.941 0.604
```

Most intense lines, 2θ from 10° to 80°, by angle:
Position (°2θ), Rel. int.
20.4, 81
21.4, 35
21.6, 58
23.4, 58
24.2, 57
24.8, 96
28.7, 100
29.0, 65
30.6, 57
30.7, 54

=====

# 2
Starting from a DFT-relaxed cell (PBE, Alexandria), the X-ray diffraction stick pattern of CsGaSbS4 was calculated for copper Kα.
No peak broadening, texture or thermal motion is included.

Atomic structure:
```
CsGaSbS4
1.0
6.423 0.000 0.000
0.000 6.951 0.000
-1.247 0.000 8.968
Cs Ga Sb S
2 2 2 8
Direct
0.220 0.250 0.068
0.780 0.750 0.932
0.355 0.250 0.655
0.645 0.750 0.345
0.168 0.750 0.449
0.832 0.250 0.551
0.123 0.002 0.689
0.123 0.498 0.689
0.330 0.750 0.197
0.450 0.250 0.425
0.550 0.750 0.575
0.670 0.250 0.803
0.877 0.502 0.311
0.877 0.998 0.311
```

Most intense lines, 2θ from 10° to 80°, by angle:
Position (°2θ), Rel. int.
20.4, 60
22.3, 99
22.6, 37
23.6, 84
25.6, 100
31.3, 66
32.6, 43
33.7, 45
33.9, 49
38.4, 33

=====

# 3
Starting from a DFT-relaxed cell (PBE, Alexandria), the X-ray diffraction stick pattern of Cs3SmGa2S6 was calculated for copper Kα.
No peak broadening, texture or thermal motion is included.

Atomic structure:
```
Cs3SmGa2S6
1.0
7.490 0.000 0.000
-3.745 6.486 0.000
0.000 0.000 9.333
Cs Sm Ga S
3 1 2 6
Direct
0.000 0.000 0.000
0.333 0.667 0.711
0.667 0.333 0.289
0.000 0.000 0.500
0.333 0.667 0.313
0.667 0.333 0.687
0.164 0.329 0.303
0.164 0.836 0.303
0.329 0.164 0.697
0.671 0.836 0.303
0.836 0.164 0.697
0.836 0.671 0.697
```

Most intense lines, 2θ from 10° to 80°, by angle:
Position (°2θ), Rel. int.
23.5, 93
23.8, 100
29.2, 24
33.7, 62
40.2, 14
41.6, 43
41.8, 23
45.8, 15
48.6, 29
54.7, 19

=====

# 4
Starting from a DFT-relaxed cell (PBE, Alexandria), the X-ray diffraction stick pattern of CsTbGaS4 was calculated for copper Kα.
No peak broadening, texture or thermal motion is included.

Atomic structure:
```
CsTbGaS4
1.0
6.935 0.000 0.000
0.000 5.724 0.000
-2.485 0.000 9.585
Cs Tb Ga S
2 2 2 8
Direct
0.244 0.250 0.039
0.756 0.750 0.961
0.253 0.250 0.555
0.747 0.750 0.445
0.259 0.750 0.337
0.741 0.250 0.663
0.001 0.517 0.691
0.001 0.983 0.691
0.416 0.750 0.567
0.460 0.750 0.195
0.540 0.250 0.805
0.584 0.250 0.433
0.999 0.017 0.309
0.999 0.483 0.309
```

Most intense lines, 2θ from 10° to 80°, by angle:
Position (°2θ), Rel. int.
20.4, 99
24.2, 56
25.3, 89
28.4, 53
29.9, 100
31.3, 65
32.5, 64
36.5, 76
41.5, 65
43.1, 57

=====

# 5
Starting from a DFT-relaxed cell (PBE, Alexandria), the X-ray diffraction stick pattern of Cs2TiGaS4 was calculated for copper Kα.
No peak broadening, texture or thermal motion is included.

Atomic structure:
```
Cs2TiGaS4
1.0
0.000 7.043 12.527
3.109 0.000 12.527
3.109 7.043 0.000
Cs Ti Ga S
4 2 2 8
Direct
0.052 0.052 0.698
0.302 0.302 0.948
0.698 0.698 0.052
0.948 0.948 0.302
0.125 0.125 0.125
0.875 0.875 0.875
0.375 0.375 0.375
0.625 0.625 0.625
0.015 0.332 0.412
0.259 0.588 0.668
0.332 0.015 0.741
0.412 0.741 0.015
0.588 0.259 0.985
0.668 0.985 0.259
0.741 0.412 0.332
0.985 0.668 0.588
```

Most intense lines, 2θ from 10° to 80°, by angle:
Position (°2θ), Rel. int.
18.9, 68
24.8, 90
25.3, 31
26.1, 100
29.8, 44
31.5, 42
36.0, 64
44.3, 24
44.5, 35
48.6, 30

=====

# 6
Starting from a DFT-relaxed cell (PBE, Alexandria), the X-ray diffraction stick pattern of CsUGaS4 was calculated for copper Kα.
No peak broadening, texture or thermal motion is included.

Atomic structure:
```
CsUGaS4
1.0
6.464 0.000 0.000
0.000 6.779 0.000
-3.204 0.000 9.056
Cs U Ga S
2 2 2 8
Direct
0.241 0.250 0.443
0.759 0.750 0.557
0.279 0.250 0.952
0.721 0.750 0.048
0.270 0.750 0.157
0.730 0.250 0.843
0.032 0.750 0.922
0.068 0.750 0.307
0.483 0.507 0.812
0.483 0.993 0.812
0.517 0.007 0.188
0.517 0.493 0.188
0.932 0.250 0.693
0.968 0.250 0.078
```

Most intense lines, 2θ from 10° to 80°, by angle:
Position (°2θ), Rel. int.
19.6, 100
23.6, 38
24.1, 44
26.3, 53
29.3, 37
31.2, 57
32.3, 47
33.0, 28
39.8, 56
46.4, 20